[1]
The following is a computed powder diffractogram of La6DySc2. It was derived from the PBE geometry in Alexandria, using Cu Kα, 1.54184 Å.

Principal peaks in the range 5 to 70 degrees two-theta, in order of falling intensity:
30.53 deg, intensity 100; 29.25 deg, intensity 45; 32.96 deg, intensity 34; 38.71 deg, intensity 24; 37.54 deg, intensity 21; 41.31 deg, intensity 21; 57.91 deg, intensity 16; 26.62 deg, intensity 13; 60.05 deg, intensity 12; 59.34 deg, intensity 12; 54.23 deg, intensity 11; 46.52 deg, intensity 11

Crystal structure
Unit cell a=9.2993 b=17.5936 c=3.6214 alpha=90.00 beta=90.00 gamma=90.00
Space group Cmmm (No. 65)
Inequivalent atoms, fractional coordinates:
La 0.1734 0.1686 0.0000 x8
La 0.1756 0.0000 0.5000 x4
Dy 0.0000 0.5000 0.0000 x2
Sc 0.0000 0.3289 0.5000 x4

[2]
The following is a computed powder diffractogram of La4Dy2Sc. It was derived from the PBE geometry in Alexandria, using Cu Kα, 1.54184 Å.

Principal peaks in the range 5 to 70 degrees two-theta, in order of falling intensity:
30.47 deg, intensity 100; 31.16 deg, intensity 38; 31.84 deg, intensity 28; 31.98 deg, intensity 25; 29.12 deg, intensity 22; 30.52 deg, intensity 17; 28.43 deg, intensity 13; 35.26 deg, intensity 13; 8.13 deg, intensity 11; 48.07 deg, intensity 11; 26.69 deg, intensity 10; 32.97 deg, intensity 10

Crystal structure
Unit cell a=6.7838 b=6.9007 c=11.4607 alpha=75.49 beta=73.95 gamma=67.21
Space group P1 (No. 1)
Inequivalent atoms, fractional coordinates:
La 0.0000 0.0000 0.0000 x1
La 0.0203 0.5968 0.3998 x1
La 0.1043 0.1234 0.4123 x1
La 0.1655 0.5792 0.8289 x1
La 0.4927 0.4831 0.5194 x1
La 0.5459 0.1026 0.8775 x1
La 0.6265 0.6225 0.8991 x1
La 0.6732 0.0836 0.3274 x1
Dy 0.3970 0.8491 0.1954 x1
Dy 0.3997 0.3818 0.1287 x1
Dy 0.4024 0.9548 0.6413 x1
Dy 0.8936 0.4671 0.1440 x1
Sc 0.9020 0.8790 0.6351 x1
Sc 0.9254 0.3440 0.6882 x1

[3]
The following is a computed powder diffractogram of LaDy15Sc4. It was derived from the PBE geometry in Alexandria, using Cu Kα, 1.54184 Å.

Principal peaks in the range 5 to 70 degrees two-theta, in order of falling intensity:
31.33 deg, intensity 100; 36.33 deg, intensity 50; 62.26 deg, intensity 40; 52.32 deg, intensity 35; 65.37 deg, intensity 12; 17.94 deg, intensity 9; 25.47 deg, intensity 8; 40.80 deg, intensity 5; 44.89 deg, intensity 4; 55.76 deg, intensity 2; 59.07 deg, intensity 2; 29.34 deg, intensity 1

Crystal structure
Unit cell a=4.9468 b=4.9468 c=24.7146 alpha=90.00 beta=90.00 gamma=90.00
Space group P4/mmm (No. 123)
Inequivalent atoms, fractional coordinates:
La 0.0000 0.0000 0.0000 x1
Dy 0.0000 0.5000 0.1061 x4
Dy 0.0000 0.5000 0.3029 x4
Dy 0.0000 0.5000 0.5000 x2
Dy 0.5000 0.5000 0.0000 x1
Dy 0.5000 0.5000 0.2055 x2
Dy 0.5000 0.5000 0.4015 x2
Sc 0.0000 0.0000 0.2040 x2
Sc 0.0000 0.0000 0.4015 x2

[4]
The following is a computed powder diffractogram of La3Dy3Sc. It was derived from the PBE geometry in Alexandria, using Cu Kα, 1.54184 Å.

Principal peaks in the range 5 to 70 degrees two-theta, in order of falling intensity:
33.53 deg, intensity 100; 31.43 deg, intensity 92; 29.33 deg, intensity 91; 32.05 deg, intensity 72; 26.60 deg, intensity 41; 30.55 deg, intensity 40; 29.87 deg, intensity 38; 59.39 deg, intensity 32; 44.40 deg, intensity 29; 57.31 deg, intensity 24; 31.21 deg, intensity 19; 29.53 deg, intensity 18

Crystal structure
Unit cell a=13.2670 b=5.6917 c=12.4366 alpha=90.00 beta=90.00 gamma=90.00
Space group Pnma (No. 62)
Inequivalent atoms, fractional coordinates:
La 0.1199 0.2500 0.1875 x4
La 0.1417 0.7500 0.8101 x4
La 0.2094 0.7500 0.4264 x4
Dy 0.0075 0.2500 0.9386 x4
Dy 0.0262 0.2500 0.4346 x4
Dy 0.2431 0.2500 0.6114 x4
Sc 0.0101 0.2500 0.6949 x4

[5]
The following is a computed powder diffractogram of LaDy7Sc3. It was derived from the PBE geometry in Alexandria, using Cu Kα, 1.54184 Å.

Principal peaks in the range 5 to 70 degrees two-theta, in order of falling intensity:
31.51 deg, intensity 100; 36.84 deg, intensity 60; 10.70 deg, intensity 32; 53.72 deg, intensity 27; 32.49 deg, intensity 26; 63.05 deg, intensity 23; 52.43 deg, intensity 21; 21.50 deg, intensity 14; 62.47 deg, intensity 14; 29.55 deg, intensity 13; 65.79 deg, intensity 11; 64.21 deg, intensity 10

Crystal structure
Unit cell a=6.9806 b=6.9806 c=8.2663 alpha=90.00 beta=90.00 gamma=120.00
Space group P3m1 (No. 156)
Inequivalent atoms, fractional coordinates:
La 0.0000 0.0000 0.0000 x1
Dy 0.1660 0.3320 0.3416 x3
Dy 0.5011 0.0022 0.9833 x3
Dy 0.6667 0.3333 0.3289 x1
Sc 0.3373 0.1687 0.6599 x3

[6]
The following is a computed powder diffractogram of La8Dy2Sc. It was derived from the PBE geometry in Alexandria, using Cu Kα, 1.54184 Å.

Principal peaks in the range 5 to 70 degrees two-theta, in order of falling intensity:
31.69 deg, intensity 100; 30.68 deg, intensity 84; 24.92 deg, intensity 23; 55.22 deg, intensity 21; 28.50 deg, intensity 19; 56.32 deg, intensity 17; 58.98 deg, intensity 15; 49.04 deg, intensity 14; 39.95 deg, intensity 14; 31.87 deg, intensity 10; 65.13 deg, intensity 9; 54.57 deg, intensity 9

Crystal structure
Unit cell a=5.8227 b=7.8900 c=16.8469 alpha=90.00 beta=90.00 gamma=90.00
Space group Immm (No. 71)
Inequivalent atoms, fractional coordinates:
La 0.0000 0.0000 0.1707 x4
La 0.0000 0.2050 0.3713 x8
La 0.0000 0.2769 0.0000 x4
Dy 0.0000 0.5000 0.1993 x4
Sc 0.0000 0.5000 0.5000 x2

[7]
The following is a computed powder diffractogram of LaDy2ScTl4. It was derived from the PBE geometry in Alexandria, using Cu Kα, 1.54184 Å.

Principal peaks in the range 5 to 70 degrees two-theta, in order of falling intensity:
33.41 deg, intensity 100; 33.12 deg, intensity 100; 59.53 deg, intensity 38; 47.75 deg, intensity 36; 59.72 deg, intensity 19; 58.97 deg, intensity 18; 23.35 deg, intensity 12; 69.50 deg, intensity 11; 25.45 deg, intensity 4; 20.25 deg, intensity 4; 41.16 deg, intensity 3; 54.02 deg, intensity 3

Crystal structure
Unit cell a=5.3639 b=5.3639 c=26.6194 alpha=90.00 beta=90.00 gamma=120.00
Space group R-3m (No. 166, hexagonal axes)
Inequivalent atoms, fractional coordinates:
La 0.0000 0.0000 0.0000 x3
Dy 0.0000 0.0000 0.2479 x6
Sc 0.0000 0.0000 0.5000 x3
Tl 0.0000 0.0000 0.1284 x6
Tl 0.0000 0.0000 0.3795 x6

[8]
The following is a computed powder diffractogram of La3Dy2Tm6Sc. It was derived from the PBE geometry in Alexandria, using Cu Kα, 1.54184 Å.

Principal peaks in the range 5 to 70 degrees two-theta, in order of falling intensity:
30.90 deg, intensity 100; 35.89 deg, intensity 66; 31.08 deg, intensity 32; 51.54 deg, intensity 24; 61.36 deg, intensity 23; 51.77 deg, intensity 23; 61.42 deg, intensity 18; 61.62 deg, intensity 13; 64.40 deg, intensity 12; 64.79 deg, intensity 4; 15.39 deg, intensity 3; 29.54 deg, intensity 2

Crystal structure
Unit cell a=6.1422 b=10.6384 c=11.6922 alpha=90.00 beta=100.08 gamma=90.00
Space group C2/m (No. 12)
Inequivalent atoms, fractional coordinates:
La 0.0000 0.0000 0.0000 x2
La 0.0000 0.3332 0.0000 x4
Dy 0.0000 0.1664 0.5000 x4
Tm 0.2454 0.3346 0.7420 x8
Tm 0.2491 0.0000 0.7420 x4
Sc 0.0000 0.5000 0.5000 x2

[9]
The following is a computed powder diffractogram of La2DyTm4Sc. It was derived from the PBE geometry in Alexandria, using Cu Kα, 1.54184 Å.

Principal peaks in the range 5 to 70 degrees two-theta, in order of falling intensity:
30.65 deg, intensity 100; 41.50 deg, intensity 79; 27.30 deg, intensity 62; 30.47 deg, intensity 45; 41.37 deg, intensity 38; 65.47 deg, intensity 27; 61.78 deg, intensity 21; 54.25 deg, intensity 17; 62.08 deg, intensity 12; 63.80 deg, intensity 11; 54.58 deg, intensity 9; 56.33 deg, intensity 7

Crystal structure
Unit cell a=6.7258 b=11.7359 c=13.0656 alpha=90.00 beta=90.00 gamma=90.00
Space group Imma (No. 74)
Inequivalent atoms, fractional coordinates:
La 0.0000 0.0000 0.0000 x4
La 0.2500 0.2500 0.2500 x4
Dy 0.0000 0.0000 0.5000 x4
Tm 0.0000 0.0188 0.7487 x8
Tm 0.2477 0.2500 0.5143 x8
Sc 0.2500 0.2500 0.7500 x4

[10]
The following is a computed powder diffractogram of LaDyYSc. It was derived from the PBE geometry in Alexandria, using Cu Kα, 1.54184 Å.

Principal peaks in the range 5 to 70 degrees two-theta, in order of falling intensity:
32.80 deg, intensity 100; 33.24 deg, intensity 44; 31.56 deg, intensity 36; 28.66 deg, intensity 23; 14.45 deg, intensity 23; 61.55 deg, intensity 20; 56.99 deg, intensity 20; 51.37 deg, intensity 18; 43.15 deg, intensity 15; 61.77 deg, intensity 14; 29.14 deg, intensity 14; 29.29 deg, intensity 12

Crystal structure
Unit cell a=3.6170 b=5.6701 c=6.1281 alpha=90.00 beta=90.00 gamma=90.00
Space group Pmm2 (No. 25)
Inequivalent atoms, fractional coordinates:
La 0.0000 0.0000 0.0000 x1
Dy 0.5000 0.5000 0.1603 x1
Y 0.0000 0.5000 0.6493 x1
Sc 0.5000 0.0000 0.4892 x1

[11]
The following is a computed powder diffractogram of La2DyY5Sc. It was derived from the PBE geometry in Alexandria, using Cu Kα, 1.54184 Å.

Principal peaks in the range 5 to 70 degrees two-theta, in order of falling intensity:
32.24 deg, intensity 100; 31.93 deg, intensity 45; 30.55 deg, intensity 33; 26.82 deg, intensity 26; 57.10 deg, intensity 22; 61.88 deg, intensity 13; 36.04 deg, intensity 13; 34.34 deg, intensity 11; 27.83 deg, intensity 11; 56.08 deg, intensity 11; 44.30 deg, intensity 10; 51.48 deg, intensity 10

Crystal structure
Unit cell a=5.6051 b=20.2064 c=10.4456 alpha=90.00 beta=90.00 gamma=90.00
Space group Cmc2_1 (No. 36)
Inequivalent atoms, fractional coordinates:
La 0.0000 0.1135 0.0000 x4
La 0.0000 0.1162 0.4219 x4
Dy 0.0000 0.4071 0.1462 x4
Y 0.0000 0.0147 0.7019 x4
Y 0.0000 0.2728 0.0132 x4
Y 0.0000 0.2963 0.3856 x4
Y 0.0000 0.3698 0.7060 x4
Y 0.0000 0.4839 0.4275 x4
Sc 0.0000 0.1942 0.7015 x4

[12]
The following is a computed powder diffractogram of LaDyY2Sc. It was derived from the PBE geometry in Alexandria, using Cu Kα, 1.54184 Å.

Principal peaks in the range 5 to 70 degrees two-theta, in order of falling intensity:
31.67 deg, intensity 100; 26.67 deg, intensity 66; 32.74 deg, intensity 47; 40.76 deg, intensity 26; 53.23 deg, intensity 24; 63.19 deg, intensity 20; 21.04 deg, intensity 19; 57.76 deg, intensity 18; 58.45 deg, intensity 15; 27.03 deg, intensity 14; 35.88 deg, intensity 12; 61.91 deg, intensity 11

Crystal structure
Unit cell a=3.5832 b=5.4722 c=8.4445 alpha=90.00 beta=90.00 gamma=90.00
Space group Pmmm (No. 47)
Inequivalent atoms, fractional coordinates:
La 0.0000 0.0000 0.0000 x1
Dy 0.5000 0.0000 0.5000 x1
Y 0.0000 0.5000 0.3132 x2
Sc 0.5000 0.5000 0.0000 x1

[13]
The following is a computed powder diffractogram of LaDy2YSc. It was derived from the PBE geometry in Alexandria, using Cu Kα, 1.54184 Å.

Principal peaks in the range 5 to 70 degrees two-theta, in order of falling intensity:
32.84 deg, intensity 100; 33.06 deg, intensity 49; 31.72 deg, intensity 37; 28.66 deg, intensity 23; 57.21 deg, intensity 20; 43.26 deg, intensity 16; 28.90 deg, intensity 12; 61.32 deg, intensity 11; 60.97 deg, intensity 11; 61.43 deg, intensity 10; 51.01 deg, intensity 10; 15.16 deg, intensity 10

Crystal structure
Unit cell a=6.1779 b=5.6426 c=9.5255 alpha=90.00 beta=108.78 gamma=90.00
Space group P2_1/m (No. 11)
Inequivalent atoms, fractional coordinates:
La 0.1312 0.2500 0.1074 x2
Dy 0.0633 0.7500 0.3087 x2
Dy 0.3316 0.2500 0.5016 x2
Y 0.4754 0.7500 0.1062 x2
Sc 0.2643 0.7500 0.6943 x2